[1]
Structure and theoretical powder X-ray diffraction pattern of KVSe2 (a DFT-relaxed cell (PBE, Alexandria); Cu Kα, 1.54184 Å).
Intensities are scaled so that the largest is 100.

Principal peaks in the range 5 to 70 degrees two-theta, by intensity:
28.04 deg, intensity 100, (2 1 1); 35.17 deg, intensity 43, (2 0 2); 15.39 deg, intensity 24, (1 1 0); 48.63 deg, intensity 21, (2 1 3); 52.98 deg, intensity 21, (4 0 2); 31.07 deg, intensity 18, (2 2 0)

Structural model:
Unit cell a=8.1402 b=8.1402 c=6.5499 alpha=90.00 beta=90.00 gamma=90.00
Space group I4/mcm (No. 140)
Unique sites:
K (0.0000, 0.0000, 0.2500) (multiplicity 4)
V (0.0000, 0.5000, 0.2500) (multiplicity 4)
Se (0.1577, 0.3423, 0.0000) (multiplicity 8)



[2]
Structure and theoretical powder X-ray diffraction pattern of HoInSi (a DFT-relaxed cell (PBE, Alexandria); Cu Kα, 1.54184 Å).
Intensities are scaled so that the largest is 100.

Principal peaks in the range 5 to 70 degrees two-theta, by intensity:
34.20 deg, intensity 100, (1 3 3); 37.31 deg, intensity 99, (3 1 3); 28.37 deg, intensity 90, (1 3 1); 29.53 deg, intensity 72, (2 2 2); 26.30 deg, intensity 66, (2 2 0); 26.57 deg, intensity 58, (0 0 4)

Structural model:
Unit cell a=8.9254 b=10.4170 c=13.4186 alpha=90.00 beta=90.00 gamma=90.00
Space group Fddd (No. 70, origin choice 2)
Unique sites:
Ho (0.1250, 0.1250, 0.2873) (multiplicity 16)
In (0.0000, 0.0000, 0.5000) (multiplicity 16)
Si (0.0814, 0.3750, 0.3750) (multiplicity 16)



[3]
Structure and theoretical powder X-ray diffraction pattern of Er3TeAs2 (a DFT-relaxed cell (PBE, Alexandria); Cu Kα, 1.54184 Å).
Intensities are scaled so that the largest is 100.

Principal peaks in the range 5 to 70 degrees two-theta, by intensity:
35.78 deg, intensity 100, (2 2 2); 31.91 deg, intensity 29, (0 4 0); 12.93 deg, intensity 27, (0 1 1); 15.80 deg, intensity 18, (0 2 0); 26.03 deg, intensity 17, (0 2 2); 32.07 deg, intensity 11, (0 1 3)

Structural model:
Unit cell a=7.3751 b=11.2165 c=8.6456 alpha=90.00 beta=90.00 gamma=90.00
Space group Imma (No. 74)
Unique sites:
Er (0.2279, 0.0000, 0.0000) (multiplicity 8)
Er (0.2500, 0.2500, 0.2500) (multiplicity 4)
Te (0.0000, 0.2500, 0.9383) (multiplicity 4)
As (0.0000, 0.0535, 0.2862) (multiplicity 8)



Copy entry 2 word for word.
Structure and theoretical powder X-ray diffraction pattern of HoInSi (a DFT-relaxed cell (PBE, Alexandria); Cu Kα, 1.54184 Å).
Intensities are scaled so that the largest is 100.

Principal peaks in the range 5 to 70 degrees two-theta, by intensity:
34.20 deg, intensity 100, (1 3 3); 37.31 deg, intensity 99, (3 1 3); 28.37 deg, intensity 90, (1 3 1); 29.53 deg, intensity 72, (2 2 2); 26.30 deg, intensity 66, (2 2 0); 26.57 deg, intensity 58, (0 0 4)

Structural model:
Unit cell a=8.9254 b=10.4170 c=13.4186 alpha=90.00 beta=90.00 gamma=90.00
Space group Fddd (No. 70, origin choice 2)
Unique sites:
Ho (0.1250, 0.1250, 0.2873) (multiplicity 16)
In (0.0000, 0.0000, 0.5000) (multiplicity 16)
Si (0.0814, 0.3750, 0.3750) (multiplicity 16)